Starting from a cell relaxed with PBE, the XRD peak list of NaEuTiBiO6 was simulated for a wavelength of 1.5418 Å.

The 10 most intense peaks (10° ≤ 2θ ≤ 90°), by angle:
d (Å), 2θ (°), intensity
4.698, 18.9, 53
2.877, 31.1, 100
2.453, 36.6, 35
2.034, 44.5, 32
1.867, 48.8, 17
1.661, 55.3, 40
1.566, 59.0, 12
1.438, 64.8, 20
1.375, 68.2, 12
1.287, 73.6, 18

Crystal structure
Lattice parameters (Å, degrees): 5.7535 5.7535 5.7535 60.00 60.00 60.00
Atoms (fractional coordinates):
1 Na 0.0000 0.0000 0.0000
2 Eu 0.5000 0.5000 0.5000
3 Ti 0.7500 0.7500 0.7500
4 Bi 0.2500 0.2500 0.2500
5 O 0.5098 0.5098 0.9902
6 O 0.5098 0.9902 0.5098
7 O 0.5098 0.9902 0.9902
8 O 0.9902 0.5098 0.5098
9 O 0.9902 0.5098 0.9902
10 O 0.9902 0.9902 0.5098

---

Starting from a cell relaxed with PBE, the XRD peak list of Eu2NbBiO6 was simulated for a wavelength of 1.5418 Å.

The 10 most intense peaks (10° ≤ 2θ ≤ 90°), by angle:
d (Å), 2θ (°), intensity
4.921, 18.0, 6
3.013, 29.6, 100
2.570, 34.9, 5
2.131, 42.4, 25
1.955, 46.4, 3
1.740, 52.6, 45
1.507, 61.5, 15
1.348, 69.8, 19
1.230, 77.6, 5
1.139, 85.2, 23

Crystal structure
Lattice parameters (Å, degrees): 8.5234 8.5234 8.5234 90.00 90.00 90.00
Atoms (fractional coordinates):
1 Eu 0.2500 0.2500 0.2500
2 Eu 0.2500 0.2500 0.7500
3 Eu 0.2500 0.7500 0.2500
4 Eu 0.2500 0.7500 0.7500
5 Eu 0.7500 0.2500 0.2500
6 Eu 0.7500 0.2500 0.7500
7 Eu 0.7500 0.7500 0.2500
8 Eu 0.7500 0.7500 0.7500
9 Nb 0.0000 0.0000 0.0000
10 Nb 0.0000 0.5000 0.5000
11 Nb 0.5000 0.0000 0.5000
12 Nb 0.5000 0.5000 0.0000
13 Bi 0.0000 0.0000 0.5000
14 Bi 0.0000 0.5000 0.0000
15 Bi 0.5000 0.0000 0.0000
16 Bi 0.5000 0.5000 0.5000
17 O 0.0401 0.5485 0.7305
18 O 0.0401 0.9515 0.7695
19 O 0.0485 0.2305 0.9599
20 O 0.0485 0.2695 0.5401
21 O 0.2305 0.5401 0.4515
22 O 0.2305 0.9599 0.0485
23 O 0.2695 0.5401 0.0485
24 O 0.2695 0.9599 0.4515
25 O 0.4515 0.2305 0.5401
26 O 0.4515 0.2695 0.9599
27 O 0.4599 0.5485 0.7695
28 O 0.4599 0.9515 0.7305
29 O 0.5401 0.0485 0.2695
30 O 0.5401 0.4515 0.2305
31 O 0.5485 0.7305 0.0401
32 O 0.5485 0.7695 0.4599
33 O 0.7305 0.0401 0.5485
34 O 0.7305 0.4599 0.9515
35 O 0.7695 0.0401 0.9515
36 O 0.7695 0.4599 0.5485
37 O 0.9515 0.7305 0.4599
38 O 0.9515 0.7695 0.0401
39 O 0.9599 0.0485 0.2305
40 O 0.9599 0.4515 0.2695

---

Starting from a cell relaxed with PBE, the XRD peak list of Eu2NbBiO6 was simulated for a wavelength of 1.5418 Å.

The 10 most intense peaks (10° ≤ 2θ ≤ 90°), by angle:
d (Å), 2θ (°), intensity
4.967, 17.9, 6
3.042, 29.4, 100
2.594, 34.6, 5
2.151, 42.0, 28
1.974, 46.0, 3
1.756, 52.1, 41
1.521, 60.9, 18
1.360, 69.0, 19
1.242, 76.7, 6
1.150, 84.2, 22

Crystal structure
Lattice parameters (Å, degrees): 6.0838 6.0838 6.0838 60.00 60.00 60.00
Atoms (fractional coordinates):
1 Eu 0.2500 0.2500 0.2500
2 Eu 0.7500 0.7500 0.7500
3 Nb 0.0000 0.0000 0.0000
4 Bi 0.5000 0.5000 0.5000
5 O 0.2331 0.2331 0.7669
6 O 0.2331 0.7669 0.2331
7 O 0.2331 0.7669 0.7669
8 O 0.7669 0.2331 0.2331
9 O 0.7669 0.2331 0.7669
10 O 0.7669 0.7669 0.2331

---

Starting from a cell relaxed with PBE, the XRD peak list of EuNbZnBiO6 was simulated for a wavelength of 1.5418 Å.

The 10 most intense peaks (10° ≤ 2θ ≤ 90°), by angle:
d (Å), 2θ (°), intensity
4.042, 22.0, 11
2.858, 31.3, 100
2.334, 38.6, 13
2.021, 44.8, 29
1.808, 50.5, 6
1.650, 55.7, 40
1.429, 65.3, 18
1.278, 74.2, 18
1.219, 78.5, 5
1.167, 82.7, 6

Crystal structure
Lattice parameters (Å, degrees): 5.7168 5.7168 5.7168 60.00 60.00 60.00
Atoms (fractional coordinates):
1 Eu 0.0000 0.0000 0.0000
2 Nb 0.7500 0.7500 0.7500
3 Zn 0.2500 0.2500 0.2500
4 Bi 0.5000 0.5000 0.5000
5 O 0.5034 0.5034 0.9966
6 O 0.5034 0.9966 0.5034
7 O 0.5034 0.9966 0.9966
8 O 0.9966 0.5034 0.5034
9 O 0.9966 0.5034 0.9966
10 O 0.9966 0.9966 0.5034

---

Starting from a cell relaxed with PBE, the XRD peak list of Eu2BiSbO6 was simulated for a wavelength of 1.5418 Å.

The 10 most intense peaks (10° ≤ 2θ ≤ 90°), by angle:
d (Å), 2θ (°), intensity
4.913, 18.1, 3
3.008, 29.7, 100
2.566, 35.0, 3
2.127, 42.5, 25
1.952, 46.5, 2
1.737, 52.7, 45
1.504, 61.7, 15
1.345, 69.9, 19
1.228, 77.8, 5
1.137, 85.4, 23

Crystal structure
Lattice parameters (Å, degrees): 8.5092 8.5092 8.5092 90.00 90.00 90.00
Atoms (fractional coordinates):
1 Eu 0.2500 0.2500 0.2500
2 Eu 0.2500 0.2500 0.7500
3 Eu 0.2500 0.7500 0.2500
4 Eu 0.2500 0.7500 0.7500
5 Eu 0.7500 0.2500 0.2500
6 Eu 0.7500 0.2500 0.7500
7 Eu 0.7500 0.7500 0.2500
8 Eu 0.7500 0.7500 0.7500
9 Bi 0.0000 0.0000 0.0000
10 Bi 0.0000 0.5000 0.5000
11 Bi 0.5000 0.0000 0.5000
12 Bi 0.5000 0.5000 0.0000
13 Sb 0.0000 0.0000 0.5000
14 Sb 0.0000 0.5000 0.0000
15 Sb 0.5000 0.0000 0.0000
16 Sb 0.5000 0.5000 0.5000
17 O 0.0402 0.5498 0.7696
18 O 0.0402 0.9502 0.7304
19 O 0.0498 0.2304 0.5402
20 O 0.0498 0.2696 0.9598
21 O 0.2304 0.5402 0.0498
22 O 0.2304 0.9598 0.4502
23 O 0.2696 0.5402 0.4502
24 O 0.2696 0.9598 0.0498
25 O 0.4502 0.2304 0.9598
26 O 0.4502 0.2696 0.5402
27 O 0.4598 0.5498 0.7304
28 O 0.4598 0.9502 0.7696
29 O 0.5402 0.0498 0.2304
30 O 0.5402 0.4502 0.2696
31 O 0.5498 0.7304 0.4598
32 O 0.5498 0.7696 0.0402
33 O 0.7304 0.0402 0.9502
34 O 0.7304 0.4598 0.5498
35 O 0.7696 0.0402 0.5498
36 O 0.7696 0.4598 0.9502
37 O 0.9502 0.7304 0.0402
38 O 0.9502 0.7696 0.4598
39 O 0.9598 0.0498 0.2696
40 O 0.9598 0.4502 0.2304

---

Starting from a cell relaxed with PBE, the XRD peak list of Eu2BiSbO6 was simulated for a wavelength of 1.5418 Å.

The 10 most intense peaks (10° ≤ 2θ ≤ 90°), by angle:
d (Å), 2θ (°), intensity
4.937, 18.0, 3
3.023, 29.5, 100
2.578, 34.8, 3
2.138, 42.3, 28
1.962, 46.3, 2
1.746, 52.4, 41
1.512, 61.3, 18
1.352, 69.5, 18
1.234, 77.3, 6
1.143, 84.8, 22

Crystal structure
Lattice parameters (Å, degrees): 6.0469 6.0469 6.0469 60.00 60.00 60.00
Atoms (fractional coordinates):
1 Eu 0.2500 0.2500 0.2500
2 Eu 0.7500 0.7500 0.7500
3 Bi 0.0000 0.0000 0.0000
4 Sb 0.5000 0.5000 0.5000
5 O 0.2664 0.2664 0.7336
6 O 0.2664 0.7336 0.2664
7 O 0.2664 0.7336 0.7336
8 O 0.7336 0.2664 0.2664
9 O 0.7336 0.2664 0.7336
10 O 0.7336 0.7336 0.2664